Structure and simulated powder X-ray diffraction pattern of Mn7SbAsO12 (a structure optimized by DFT (PBE+U); Cu Kα (λ = 1.5418 Å)).
Lines closer than 0.1° are merged.

Largest 12 diffraction maxima, low angle first, 10 to 90 degrees two-theta:
| d (Å) | Rel. int. |
| --- | --- |
| 5.104 | 26 |
| 4.511 | 23 |
| 3.570 | 23 |
| 2.952 | 34 |
| 2.900 | 44 |
| 2.721 | 100 |
| 2.692 | 44 |
| 2.645 | 22 |
| 2.612 | 20 |
| 2.234 | 34 |
| 1.709 | 27 |
| 1.582 | 69 |

Crystal structure
a = 11.081 Å, b = 11.081 Å, c = 11.081 Å
α = 147.46°, β = 58.93°, γ = 132.31°
Fractional coordinates of all 42 atoms:
Mn  0.000  0.000  0.500
Mn  0.000  0.500  0.000
Mn  0.158  0.000  0.658
Mn  0.158  0.500  0.158
Mn  0.191  0.525  0.666
Mn  0.206  0.132  0.074
Mn  0.359  0.525  0.834
Mn  0.442  0.868  0.574
Mn  0.558  0.132  0.426
Mn  0.641  0.475  0.166
Mn  0.794  0.868  0.926
Mn  0.809  0.475  0.334
Mn  0.842  0.000  0.342
Mn  0.842  0.500  0.842
Sb  0.000  0.500  0.500
Sb  0.500  0.500  0.000
As  0.371  0.121  0.250
As  0.629  0.879  0.750
O  0.045  0.716  0.329
O  0.081  0.281  0.354
O  0.081  0.727  0.800
O  0.113  0.284  0.829
O  0.214  0.724  0.490
O  0.261  0.244  0.482
O  0.261  0.779  0.018
O  0.266  0.276  0.990
O  0.406  0.230  0.176
O  0.427  0.281  0.700
O  0.427  0.727  0.146
O  0.446  0.770  0.676
O  0.554  0.230  0.324
O  0.573  0.273  0.854
O  0.573  0.719  0.300
O  0.594  0.770  0.824
O  0.734  0.724  0.010
O  0.739  0.221  0.982
O  0.739  0.756  0.518
O  0.786  0.276  0.510
O  0.887  0.716  0.171
O  0.919  0.273  0.200
O  0.919  0.719  0.646
O  0.955  0.284  0.671